Record 1
For Pr2DyCu4Sn4, a DFT-relaxed cell (PBE, OQMD) gives the computed X-ray powder pattern in this record (Cu Kα X-rays).
Kinematic intensities with the Lorentz-polarization factor, no thermal factor.

Structural model:
Cell: 4.572 6.911 14.956 Å, 90.00 90.00 90.00°
Space group Immm (No. 71)
Asymmetric unit:
Pr1 0.000 0.000 0.132 [4 per cell]
Dy1 0.000 0.500 0.000 [2 per cell]
Cu1 0.000 0.186 0.330 [8 per cell]
Sn1 0.000 0.293 0.500 [4 per cell]
Sn2 0.000 0.500 0.214 [4 per cell]

Peak list (10 most intense, 5° ≤ 2θ ≤ 70°, in order of falling intensity)
33.04°, rel. 100, hkl 1 2 1
33.57°, rel. 94, hkl 1 1 4
39.42°, rel. 45, hkl 2 0 0
32.62°, rel. 29, hkl 0 1 5
44.71°, rel. 26, hkl 1 2 5
43.27°, rel. 21, hkl 0 3 3
36.03°, rel. 20, hkl 0 0 6
67.76°, rel. 19, hkl 3 1 4
52.06°, rel. 16, hkl 2 1 5
59.95°, rel. 16, hkl 2 3 3



Record 2
For Pr2GeAu, a DFT-relaxed cell (PBE, OQMD) gives the computed X-ray powder pattern in this record (Cu Kα X-rays).
Kinematic intensities with the Lorentz-polarization factor, no thermal factor.

Structural model:
Cell: 4.475 6.012 7.961 Å, 90.00 90.00 90.00°
Space group Pmc2_1 (No. 26)
Asymmetric unit:
Pr1 0.000 0.111 0.000 [2 per cell]
Pr2 0.500 0.383 0.360 [2 per cell]
Ge1 0.500 0.105 0.721 [2 per cell]
Au1 0.000 0.395 0.638 [2 per cell]

Peak list (10 most intense, 5° ≤ 2θ ≤ 70°, in order of falling intensity)
33.62°, rel. 100, hkl 1 1 2
37.78°, rel. 97, hkl 1 2 1
30.05°, rel. 86, hkl 1 0 2
31.82°, rel. 63, hkl 0 2 1
40.31°, rel. 44, hkl 2 0 0
27.25°, rel. 34, hkl 1 1 1
37.03°, rel. 34, hkl 0 1 3
52.25°, rel. 32, hkl 2 2 1
48.16°, rel. 27, hkl 0 1 4
64.56°, rel. 23, hkl 2 1 4



Record 3
For Dy3AlCoS7, a DFT-relaxed cell (PBE, OQMD) gives the computed X-ray powder pattern in this record (Cu Kα X-rays).
Kinematic intensities with the Lorentz-polarization factor, no thermal factor.

Structural model:
Cell: 9.5212 9.5212 6.1295 Å, 90.00 90.00 120.00°
Space group P6_3 (No. 173)
Asymmetric unit:
Dy1 0.1526 0.3740 0.0000 [6 per cell]
Al1 0.3333 0.6667 0.4256 [2 per cell]
Co1 0.0000 0.0000 0.3393 [2 per cell]
S1 0.0880 0.5692 0.2719 [6 per cell]
S2 0.0945 0.2234 0.5934 [6 per cell]
S3 0.3333 0.6667 0.7897 [2 per cell]

Peak list (10 most intense, 5° ≤ 2θ ≤ 70°, in order of falling intensity)
26.05°, rel. 100, hkl 2 0 1
18.03°, rel. 46, hkl 1 0 1
36.53°, rel. 35, hkl 2 0 2
37.79°, rel. 35, hkl 2 2 0
49.79°, rel. 34, hkl 2 0 3
35.80°, rel. 32, hkl 3 0 1
41.32°, rel. 32, hkl 1 2 2
28.64°, rel. 30, hkl 1 2 0
42.18°, rel. 25, hkl 3 1 1
53.04°, rel. 20, hkl 1 4 1



Record 4
For Zr4Al3Mo2N3, a DFT-relaxed cell (PBE, OQMD) gives the computed X-ray powder pattern in this record (Cu Kα X-rays).
Kinematic intensities with the Lorentz-polarization factor, no thermal factor.

Structural model:
Cell: 9.504 5.500 14.254 Å, 90.00 102.82 90.00°
Space group C2/c (No. 15)
Asymmetric unit:
Zr1 0.115 0.086 0.094 [8 per cell]
Zr2 0.220 0.081 0.406 [8 per cell]
Al1 0.000 0.130 0.750 [4 per cell]
Al2 0.143 0.439 0.250 [8 per cell]
Mo1 0.050 0.421 0.914 [8 per cell]
N1 0.085 0.244 0.500 [8 per cell]
N2 0.250 0.250 0.000 [4 per cell]

Peak list (10 most intense, 5° ≤ 2θ ≤ 70°, in order of falling intensity)
38.09°, rel. 100, hkl 3 1 2
12.74°, rel. 32, hkl 0 0 2
32.60°, rel. 20, hkl 0 2 0
33.25°, rel. 20, hkl 3 1 0
38.88°, rel. 18, hkl 0 0 6
58.13°, rel. 14, hkl 3 3 -1
69.88°, rel. 13, hkl 3 1 8
51.63°, rel. 10, hkl 3 1 5
25.64°, rel. 10, hkl 0 0 4
57.25°, rel. 9, hkl 3 1 6



Record 5
For KPuCuSe2S, a DFT-relaxed cell (PBE, OQMD) gives the computed X-ray powder pattern in this record (Cu Kα X-rays).
Kinematic intensities with the Lorentz-polarization factor, no thermal factor.

Structural model:
Cell: 8.476 4.057 9.657 Å, 90.00 108.25 90.00°
Space group P2_1/m (No. 11)
Asymmetric unit:
K1 0.239 0.250 0.266 [2 per cell]
Pu1 0.320 0.750 0.850 [2 per cell]
Cu1 0.078 0.250 0.594 [2 per cell]
Se1 0.091 0.250 0.852 [2 per cell]
Se2 0.223 0.750 0.544 [2 per cell]
S1 0.464 0.750 0.142 [2 per cell]

Peak list (10 most intense, 5° ≤ 2θ ≤ 70°, in order of falling intensity)
12.15°, rel. 100, hkl 1 0 -1
30.63°, rel. 40, hkl 2 1 -1
31.30°, rel. 23, hkl 2 1 0
44.85°, rel. 20, hkl 2 1 -4
35.66°, rel. 19, hkl 1 1 -3
29.21°, rel. 19, hkl 0 0 3
27.73°, rel. 16, hkl 1 1 1
24.57°, rel. 14, hkl 1 1 0
44.67°, rel. 13, hkl 0 2 0
25.17°, rel. 13, hkl 1 0 2



Record 6
For KSmSO, a DFT-relaxed cell (PBE, OQMD) gives the computed X-ray powder pattern in this record (Cu Kα X-rays).
Kinematic intensities with the Lorentz-polarization factor, no thermal factor.

Structural model:
Cell: 7.550 7.526 6.579 Å, 90.00 104.53 90.00°
Space group P2_1/c (No. 14)
Asymmetric unit:
K1 0.084 0.245 0.009 [4 per cell]
Sm1 0.469 0.626 0.268 [4 per cell]
S1 0.244 0.588 0.841 [4 per cell]
O1 0.391 0.149 0.879 [4 per cell]

Peak list (10 most intense, 5° ≤ 2θ ≤ 70°, in order of falling intensity)
12.11°, rel. 100, hkl 1 0 0
27.57°, rel. 54, hkl 1 0 -2
28.68°, rel. 46, hkl 1 2 -1
33.39°, rel. 30, hkl 1 0 2
34.58°, rel. 29, hkl 2 2 -1
24.36°, rel. 22, hkl 2 0 0
39.45°, rel. 21, hkl 2 2 1
31.60°, rel. 19, hkl 1 2 1
50.06°, rel. 14, hkl 1 4 0
28.02°, rel. 13, hkl 0 0 2



Record 7
For RbHfTaS5, a DFT-relaxed cell (PBE, OQMD) gives the computed X-ray powder pattern in this record (Cu Kα X-rays).
Kinematic intensities with the Lorentz-polarization factor, no thermal factor.

Structural model:
Cell: 7.237 8.020 8.865 Å, 67.79 77.76 75.69°
Space group P-1 (No. 2)
Asymmetric unit:
Rb1 0.101 0.330 0.313 [2 per cell]
Hf1 0.492 0.705 0.339 [2 per cell]
Ta1 0.248 0.968 0.997 [2 per cell]
S1 0.057 0.778 0.996 [2 per cell]
S2 0.185 0.911 0.292 [2 per cell]
S3 0.268 0.119 0.700 [2 per cell]
S4 0.422 0.618 0.639 [2 per cell]
S5 0.446 0.228 0.982 [2 per cell]

Peak list (10 most intense, 5° ≤ 2θ ≤ 70°, in order of falling intensity)
13.22°, rel. 100, hkl 0 1 1
33.03°, rel. 35, hkl 0 0 3
20.82°, rel. 25, hkl -1 1 1
26.53°, rel. 22, hkl 2 0 1
26.29°, rel. 21, hkl 2 1 0
38.09°, rel. 20, hkl 2 3 1
38.95°, rel. 19, hkl 2 -2 0
23.03°, rel. 19, hkl 0 2 1
12.13°, rel. 18, hkl 0 1 0
15.62°, rel. 16, hkl 1 1 1



Record 8
For Er4AlCo2Ge4, a DFT-relaxed cell (PBE, OQMD) gives the computed X-ray powder pattern in this record (Cu Kα X-rays).
Kinematic intensities with the Lorentz-polarization factor, no thermal factor.

Structural model:
Cell: 15.110 4.207 6.863 Å, 90.00 107.46 90.00°
Space group C2/m (No. 12)
Asymmetric unit:
Er1 0.089 0.000 0.387 [4 per cell]
Er2 0.152 0.000 0.941 [4 per cell]
Al1 0.000 0.500 0.000 [2 per cell]
Co1 0.221 0.500 0.631 [4 per cell]
Ge1 0.067 0.500 0.666 [4 per cell]
Ge2 0.202 0.500 0.265 [4 per cell]

Peak list (10 most intense, 5° ≤ 2θ ≤ 70°, in order of falling intensity)
35.34°, rel. 100, hkl 3 1 -2
33.80°, rel. 88, hkl 3 1 1
36.77°, rel. 87, hkl 1 1 2
43.00°, rel. 58, hkl 0 2 0
36.88°, rel. 56, hkl 5 1 -1
41.40°, rel. 33, hkl 0 0 3
37.83°, rel. 32, hkl 5 1 0
35.74°, rel. 32, hkl 6 0 -1
22.01°, rel. 30, hkl 1 1 0
61.22°, rel. 20, hkl 0 2 3